Theoretical powder XRD pattern
Compound: NaCeNb2O6
Radiation: Cu Kα (λ = 1.5418 Å)
Structure: a cell relaxed with PBE
No peak broadening, texture or thermal motion is included.

Crystal structure
Lattice parameters (Å, degrees): 5.7345 5.7345 5.7345 60.00 60.00 60.00
Fractional coordinates of all 10 atoms:
Na1 0.0000 0.0000 0.0000
Ce1 0.5000 0.5000 0.5000
Nb1 0.2500 0.2500 0.2500
Nb2 0.7500 0.7500 0.7500
O1 0.0000 0.0000 0.5000
O2 0.0000 0.5000 0.0000
O3 0.0000 0.5000 0.5000
O4 0.5000 0.0000 0.0000
O5 0.5000 0.0000 0.5000
O6 0.5000 0.5000 0.0000

Largest 8 diffraction maxima, in order of falling intensity, 5 to 70 degrees two-theta:
| d_spacing | Position (°2θ) | I/Imax |
| --- | --- | --- |
| 2.867 | 31.19 | 100 |
| 1.655 | 55.51 | 39 |
| 2.027 | 44.70 | 35 |
| 4.682 | 18.95 | 29 |
| 1.434 | 65.06 | 21 |
| 2.445 | 36.76 | 16 |
| 1.861 | 48.96 | 7 |
| 1.561 | 59.20 | 6 |